1.
Starting from the PBE geometry in the Materials Project, the PXRD pattern of TiBr3 was computed for CuKα.
Peak positions follow from Bragg's law for the DFT cell and can differ from measured ones.

Principal peaks in the range 2θ = 10–80°, sorted by position:
2θ 13.30, intensity 21, hkl 0 0 3; 2θ 26.78, intensity 19, hkl 0 0 6; 2θ 30.68, intensity 100, hkl 1 1 3; 2θ 38.77, intensity 36, hkl 1 1 6; 2θ 48.66, intensity 25, hkl 3 0 0; 2θ 49.79, intensity 26, hkl 2 -1 9; 2θ 56.40, intensity 13, hkl 3 0 6; 2θ 58.63, intensity 14, hkl 4 -2 3; 2θ 76.60, intensity 9, hkl 3 0 12; 2θ 79.56, intensity 11, hkl 4 1 3

Structural model:
a = 6.4823 Å, b = 6.4823 Å, c = 19.9775 Å
α = 90.00°, β = 90.00°, γ = 120.00°
Space group R-3 (No. 148, hexagonal axes)
Asymmetric unit:
Ti 0.0000 0.0000 0.1666 x6
Br 0.0004 0.3511 0.4246 x18

---

2.
Starting from the PBE geometry in the Materials Project, the PXRD pattern of Ti3Br was computed for CuKα.
Peak positions follow from Bragg's law for the DFT cell and can differ from measured ones.

Principal peaks in the range 2θ = 10–80°, sorted by position:
2θ 25.58, intensity 11, hkl 1 0 1; 2θ 31.54, intensity 3, hkl 1 1 0; 2θ 36.40, intensity 32, hkl 0 0 2; 2θ 36.57, intensity 23, hkl 2 0 0; 2θ 41.03, intensity 100, hkl 2 0 1; 2θ 52.56, intensity 17, hkl 2 0 2; 2θ 65.84, intensity 15, hkl 2 2 0; 2θ 68.64, intensity 20, hkl 2 0 3; 2θ 77.31, intensity 3, hkl 0 0 4; 2θ 77.63, intensity 18, hkl 2 2 2

Structural model:
a = 5.6741 Å, b = 5.6741 Å, c = 4.9368 Å
α = 90.00°, β = 90.00°, γ = 120.00°
Space group P6_3/mmc (No. 194)
Asymmetric unit:
Ti 0.1601 0.3203 0.2500 x6
Br 0.3333 0.6667 0.7500 x2

---

3.
Starting from the PBE geometry in the Materials Project, the PXRD pattern of Ti7Br16 was computed for CuKα.
Peak positions follow from Bragg's law for the DFT cell and can differ from measured ones.

Principal peaks in the range 2θ = 10–80°, sorted by position:
2θ 14.14, intensity 19, hkl 1 2 0; 2θ 28.50, intensity 59, hkl 2 4 0; 2θ 29.72, intensity 61, hkl 2 0 2; 2θ 33.61, intensity 50, hkl 4 0 0; 2θ 33.81, intensity 100, hkl 0 4 2; 2θ 46.98, intensity 16, hkl 0 8 0; 2θ 48.42, intensity 61, hkl 4 4 2; 2θ 50.12, intensity 15, hkl 0 0 4; 2θ 56.58, intensity 15, hkl 2 8 2; 2θ 58.67, intensity 20, hkl 2 4 4

Structural model:
a = 10.6668 Å, b = 15.4737 Å, c = 7.2800 Å
α = 90.00°, β = 90.00°, γ = 90.00°
Space group Pnnm (No. 58)
Asymmetric unit:
Ti 0.0000 0.0000 0.0000 x2
Ti 0.0400 0.2640 0.0000 x4
Ti 0.2431 0.3609 0.1975 x8
Br 0.0034 0.1288 0.2471 x8
Br 0.0118 0.3740 0.2496 x8
Br 0.2270 0.7524 0.0000 x4
Br 0.2300 0.7268 0.5000 x4
Br 0.2421 0.9806 0.0000 x4
Br 0.2437 0.9925 0.5000 x4

---

4.
Starting from the PBE geometry in the Materials Project, the PXRD pattern of TiBr4 was computed for CuKα.
Peak positions follow from Bragg's law for the DFT cell and can differ from measured ones.

Principal peaks in the range 2θ = 10–80°, sorted by position:
2θ 16.06, intensity 23, hkl 2 1 0; 2θ 17.60, intensity 19, hkl 2 1 1; 2θ 24.99, intensity 100, hkl 2 2 2; 2θ 28.93, intensity 35, hkl 4 0 0; 2θ 39.31, intensity 8, hkl 4 3 2; 2θ 41.38, intensity 41, hkl 4 4 0; 2θ 48.95, intensity 31, hkl 6 2 2; 2θ 51.28, intensity 6, hkl 4 4 4; 2θ 65.98, intensity 9, hkl 6 6 2; 2θ 75.46, intensity 7, hkl 8 4 4

Structural model:
a = 12.3434 Å, b = 12.3434 Å, c = 12.3434 Å
α = 90.00°, β = 90.00°, γ = 90.00°
Space group Pa-3 (No. 205)
Asymmetric unit:
Ti 0.1310 0.1310 0.1310 x8
Br 0.0190 0.2402 0.0241 x24
Br 0.2403 0.2403 0.2403 x8

---

5.
Starting from the PBE geometry in the Materials Project, the PXRD pattern of TiBr4 was computed for CuKα.
Peak positions follow from Bragg's law for the DFT cell and can differ from measured ones.

Principal peaks in the range 2θ = 10–80°, sorted by position:
2θ 14.37, intensity 23, hkl 0 1 1; 2θ 23.73, intensity 43, hkl 2 1 -2; 2θ 23.92, intensity 19, hkl 0 2 0; 2θ 25.07, intensity 51, hkl 2 0 2; 2θ 26.89, intensity 100, hkl 1 1 -3; 2θ 27.05, intensity 56, hkl 1 2 1; 2θ 34.79, intensity 21, hkl 4 1 0; 2θ 41.95, intensity 30, hkl 2 3 -2; 2θ 45.29, intensity 31, hkl 5 1 1; 2θ 49.49, intensity 23, hkl 4 3 0

Structural model:
a = 11.2198 Å, b = 7.4418 Å, c = 11.2165 Å
α = 90.00°, β = 101.40°, γ = 90.00°
Space group P2_1/c (No. 14)
Asymmetric unit:
Ti 0.2500 0.0780 0.1323 x4
Br 0.0883 0.5727 0.6917 x4
Br 0.1922 0.1264 0.5786 x4
Br 0.3021 0.5692 0.4658 x4
Br 0.4174 0.0793 0.2937 x4